Li5Co3O8: computed powder X-ray diffraction pattern (Cu Kα (λ = 1.5418 Å)), based on the PBE+U geometry in Alexandria.

Unit cell a=2.9779 b=5.0574 c=9.8747 alpha=101.20 beta=92.48 gamma=104.37
Element x y z (fractional)
Li 0.0000 0.0000 0.0000
Li 0.2491 0.5127 0.8744
Li 0.2568 0.4979 0.3746
Li 0.7432 0.5021 0.6254
Li 0.7509 0.4873 0.1256
Co 0.0000 0.0000 0.5000
Co 0.4903 0.0034 0.7590
Co 0.5097 0.9966 0.2410
O 0.1390 0.2272 0.6792
O 0.1524 0.2266 0.1929
O 0.3596 0.7806 0.5726
O 0.3836 0.7607 0.0823
O 0.6164 0.2393 0.9177
O 0.6404 0.2194 0.4274
O 0.8476 0.7734 0.8071
O 0.8610 0.7728 0.3208

Top 10 peaks for 5 to 70 degrees two-theta, sorted by position:
(0 0 1), 9.17 deg, I 37
(0 0 2), 18.40 deg, I 12
(0 1 0), 18.53 deg, I 100
(1 0 -2), 34.79 deg, I 21
(1 -1 2), 36.55 deg, I 12
(0 0 4), 37.31 deg, I 9
(1 1 -2), 41.76 deg, I 37
(1 -2 2), 44.36 deg, I 29
(0 1 4), 45.58 deg, I 26
(1 2 2), 63.52 deg, I 16